# 1
# Na6MnO4
Calculated powder XRD pattern, Cu Kα, 1.54184 Å. Input: DFT lattice parameters and positions (GGA+U).
Lines closer than 0.1° are merged.

Top 8 peaks for 2θ = 10–90°, low angle first:
2theta	I (rel.)	h k l
13.15	52	1 0 0
19.88	39	1 0 1
32.82	35	1 0 2
38.01	23	1 1 2
38.46	100	2 1 1
40.39	43	2 0 2
43.07	21	3 0 1
46.75	54	2 2 0

Structure:
```
data_Na6MnO4
_cell_length_a 7.7730
_cell_length_b 7.7730
_cell_length_c 5.9699
_cell_angle_alpha 90.00
_cell_angle_beta 90.00
_cell_angle_gamma 120.00
_space_group_name_H-M_alt 'P 63 m c'
_space_group_IT_number 186
_space_group_name_Hall 'P 6c -2c'
loop_
_atom_site_label
_atom_site_type_symbol
_atom_site_fract_x
_atom_site_fract_y
_atom_site_fract_z
Na1 Na 0.0785 0.5393 0.0000
Na2 Na 0.1396 0.2792 0.3322
Mn1 Mn 0.3333 0.6667 0.6037
O1 O 0.1871 0.3741 0.7218
O2 O 0.3333 0.6667 0.2610
```

---

# 2
# Na5Mn7O15
Calculated powder XRD pattern, Cu Kα, 1.54184 Å. Input: DFT lattice parameters and positions (GGA+U).
Lines closer than 0.1° are merged.

Top 8 peaks for 2θ = 10–90°, low angle first:
2theta	I (rel.)	h k l
16.79	100	1 0 0
17.51	39	0 1 -1
17.66	34	1 1 1
33.91	38	1 2 -2
39.63	38	0 2 2
40.51	37	2 2 -2
43.70	32	2 0 4
58.09	36	2 4 0

Structure:
```
data_Na5Mn7O15
_cell_length_a 6.2658
_cell_length_b 6.3575
_cell_length_c 10.0390
_cell_angle_alpha 89.69
_cell_angle_beta 76.86
_cell_angle_gamma 60.71
_space_group_name_H-M_alt 'P 1'
_space_group_IT_number 1
loop_
_space_group_symop_operation_xyz
'x,y,z'
loop_
_atom_site_label
_atom_site_type_symbol
_atom_site_fract_x
_atom_site_fract_y
_atom_site_fract_z
Na1 Na 0.0000 0.0000 0.0000
Na2 Na 0.0226 0.4749 0.5078
Na3 Na 0.7683 0.6124 0.8599
Na4 Na 0.7962 0.0906 0.3552
Na5 Na 0.9018 0.0438 0.6878
Mn1 Mn 0.3775 0.3094 0.9342
Mn2 Mn 0.3943 0.0454 0.1847
Mn3 Mn 0.3937 0.5463 0.1839
Mn4 Mn 0.4058 0.7818 0.4358
Mn5 Mn 0.4218 0.5044 0.6707
Mn6 Mn 0.4253 0.0431 0.6705
Mn7 Mn 0.8931 0.5460 0.1844
O1 O 0.1521 0.4534 0.2843
O2 O 0.1591 0.2112 0.0668
O3 O 0.1836 0.6220 0.0509
O4 O 0.2001 0.4007 0.7846
O5 O 0.2004 0.6813 0.5638
O6 O 0.2201 0.8759 0.2905
O7 O 0.2207 0.0896 0.5491
O8 O 0.5644 0.9950 0.8255
O9 O 0.5702 0.2137 0.0781
O10 O 0.5810 0.4157 0.8163
O11 O 0.5857 0.6878 0.5895
O12 O 0.5977 0.4743 0.3166
O13 O 0.6088 0.2070 0.5730
O14 O 0.6257 0.8781 0.3033
O15 O 0.6357 0.6380 0.0834
```

---

# 3
# Na3Mn8O16
Calculated powder XRD pattern, Cu Kα, 1.54184 Å. Input: DFT lattice parameters and positions (GGA+U).
Lines closer than 0.1° are merged.

Top 8 peaks for 2θ = 10–90°, low angle first:
2theta	I (rel.)	h k l
17.80	100	0 2 1
34.15	49	1 4 1
35.08	23	1 0 3
36.05	13	0 4 2
41.34	38	2 4 0
42.90	17	0 0 4
54.67	23	2 6 1
61.10	29	2 4 4

Structure:
```
data_Na3Mn8O16
_cell_length_a 6.1677
_cell_length_b 12.3736
_cell_length_c 8.4321
_cell_angle_alpha 90.00
_cell_angle_beta 90.00
_cell_angle_gamma 90.00
_space_group_name_H-M_alt 'P m m n'
_space_group_IT_number 59
loop_
_space_group_symop_operation_xyz
'x,y,z'
'-x,-y,-z'
'-x+1/2,-y+1/2,z'
'x+1/2,y+1/2,-z'
'x+1/2,-y,-z'
'-x+1/2,y,z'
'-x,y+1/2,-z'
'x,-y+1/2,z'
loop_
_atom_site_label
_atom_site_type_symbol
_atom_site_fract_x
_atom_site_fract_y
_atom_site_fract_z
Na1 Na 0.2500 0.0009 0.1268
Na2 Na 0.2500 0.7500 0.3785
Mn1 Mn 0.0000 0.0000 0.5000
Mn2 Mn 0.0015 0.2500 0.0025
Mn3 Mn 0.2500 0.1255 0.7477
Mn4 Mn 0.2500 0.6268 0.7479
O1 O 0.0336 0.2500 0.7728
O2 O 0.0386 0.7500 0.7633
O3 O 0.0404 0.5029 0.7289
O4 O 0.2500 0.1058 0.5168
O5 O 0.2500 0.1431 0.9787
O6 O 0.2500 0.6026 0.5141
O7 O 0.2500 0.6437 0.9760
```

---

# 4
# Na2MnO2
Calculated powder XRD pattern, Cu Kα, 1.54184 Å. Input: DFT lattice parameters and positions (GGA+U).
Lines closer than 0.1° are merged.

Top 8 peaks for 2θ = 10–90°, low angle first:
2theta	I (rel.)	h k l
21.84	52	0 2 1
26.20	32	1 3 -1
32.84	61	0 0 2
33.37	34	4 0 -2
33.76	71	2 4 -1
40.73	100	2 4 1
41.06	40	5 1 0
54.17	35	2 4 -3

Structure:
```
data_Na2MnO2
_cell_length_a 12.6729
_cell_length_b 12.2192
_cell_length_c 6.1870
_cell_angle_alpha 90.00
_cell_angle_beta 118.16
_cell_angle_gamma 90.00
_space_group_name_H-M_alt 'C 1 2/c 1'
_space_group_IT_number 15
loop_
_space_group_symop_operation_xyz
'x,y,z'
'-x,-y,-z'
'-x,y,-z+1/2'
'x,-y,z+1/2'
'x+1/2,y+1/2,z'
'-x+1/2,-y+1/2,-z'
'-x+1/2,y+1/2,-z+1/2'
'x+1/2,-y+1/2,z+1/2'
loop_
_atom_site_label
_atom_site_type_symbol
_atom_site_fract_x
_atom_site_fract_y
_atom_site_fract_z
Na1 Na 0.0000 0.0605 0.2500
Na2 Na 0.0000 0.1957 0.7500
Na3 Na 0.1030 0.4286 0.7292
Na4 Na 0.2001 0.2028 0.2620
Mn1 Mn 0.0000 0.3158 0.2500
Mn2 Mn 0.2119 0.0798 0.7434
O1 O 0.1014 0.3860 0.0990
O2 O 0.1145 0.2135 0.5335
O3 O 0.1640 0.0566 0.0172
```

---

# 5
# Na4Mn5O12
Calculated powder XRD pattern, Cu Kα, 1.54184 Å. Input: DFT lattice parameters and positions (GGA+U).
Lines closer than 0.1° are merged.

Top 8 peaks for 2θ = 10–90°, low angle first:
2theta	I (rel.)	h k l
17.39	100	1 1 1
18.04	44	1 1 -2
34.35	25	1 3 1
34.55	25	1 1 -5
34.88	28	3 1 -3
41.19	27	0 0 6
41.76	27	4 0 -2
42.04	25	0 4 0

Structure:
```
data_Na4Mn5O12
_cell_length_a 8.6656
_cell_length_b 8.5962
_cell_length_c 13.6344
_cell_angle_alpha 90.00
_cell_angle_beta 105.33
_cell_angle_gamma 90.00
_space_group_name_H-M_alt 'C 1 2/c 1'
_space_group_IT_number 15
loop_
_space_group_symop_operation_xyz
'x,y,z'
'-x,-y,-z'
'-x,y,-z+1/2'
'x,-y,z+1/2'
'x+1/2,y+1/2,z'
'-x+1/2,-y+1/2,-z'
'-x+1/2,y+1/2,-z+1/2'
'x+1/2,-y+1/2,z+1/2'
loop_
_atom_site_label
_atom_site_type_symbol
_atom_site_fract_x
_atom_site_fract_y
_atom_site_fract_z
Na1 Na 0.0000 0.0000 0.0000
Na2 Na 0.0000 0.1118 0.2500
Na3 Na 0.1677 0.3628 0.0774
Mn1 Mn 0.0929 0.2632 0.6689
Mn2 Mn 0.1594 0.4842 0.3319
Mn3 Mn 0.2500 0.2500 0.5000
O1 O 0.0430 0.2562 0.5275
O2 O 0.0741 0.4955 0.6816
O3 O 0.1269 0.0449 0.6784
O4 O 0.1348 0.2854 0.8222
O5 O 0.1850 0.2520 0.3482
O6 O 0.2311 0.4708 0.4741
```

---

# 6
# Na6MnO4
Calculated powder XRD pattern, Cu Kα, 1.54184 Å. Input: DFT lattice parameters and positions (GGA+U).
Lines closer than 0.1° are merged.

Top 8 peaks for 2θ = 10–90°, low angle first:
2theta	I (rel.)	h k l
19.89	61	1 0 1
28.54	43	2 0 1
30.93	68	2 1 1
32.44	33	0 0 2
33.39	47	2 2 0
39.17	75	3 0 1
47.24	100	2 2 2
47.94	59	4 0 0

Structure:
```
data_Na6MnO4
_cell_length_a 7.5898
_cell_length_b 7.5898
_cell_length_c 5.5201
_cell_angle_alpha 90.00
_cell_angle_beta 90.00
_cell_angle_gamma 90.00
_space_group_name_H-M_alt 'P 42/n m c'
_space_group_IT_number 137
loop_
_space_group_symop_operation_xyz
'x,y,z'
'-x,-y,-z'
'-y+1/2,x,z+1/2'
'y+1/2,-x,-z+1/2'
'-x+1/2,-y+1/2,z'
'x+1/2,y+1/2,-z'
'y,-x+1/2,z+1/2'
'-y,x+1/2,-z+1/2'
'x+1/2,-y,-z'
'-x+1/2,y,z'
'-y,-x,-z+1/2'
'y,x,z+1/2'
'-x,y+1/2,-z'
'x,-y+1/2,z'
'y+1/2,x+1/2,-z+1/2'
'-y+1/2,-x+1/2,z+1/2'
loop_
_atom_site_label
_atom_site_type_symbol
_atom_site_fract_x
_atom_site_fract_y
_atom_site_fract_z
Na1 Na 0.0370 0.5370 0.2500
Na2 Na 0.2500 0.2500 0.1672
Mn1 Mn 0.2500 0.7500 0.7500
O1 O 0.0016 0.7500 0.5635
```